SrBiP2O8: simulated XRD peak list (λ = 1.5418 Å (Cu Kα)), based on DFT lattice parameters and positions (PBE).
Peak positions follow from Bragg's law for the DFT cell and can differ from measured ones.

Structural model:
```
SrBiP2O8
1.0
5.518 0.000 0.000
-0.969 7.160 0.000
-1.320 -3.045 9.163
Sr Bi P O
2 2 4 16
Direct
0.239 0.304 0.061
0.761 0.696 0.939
0.322 0.701 0.442
0.678 0.299 0.558
0.189 0.482 0.715
0.361 0.894 0.201
0.639 0.106 0.799
0.811 0.518 0.285
0.029 0.407 0.312
0.085 0.261 0.621
0.152 0.950 0.108
0.271 0.514 0.879
0.302 0.675 0.196
0.399 0.010 0.366
0.410 0.060 0.866
0.420 0.556 0.653
0.580 0.444 0.347
0.590 0.940 0.134
0.601 0.990 0.634
0.698 0.325 0.804
0.729 0.486 0.121
0.848 0.050 0.892
0.915 0.739 0.379
0.971 0.593 0.688
```

Largest 10 diffraction maxima, sorted by position, 10 to 90 degrees two-theta:
- 13.03 deg, rel. 51
- 17.53 deg, rel. 70
- 18.55 deg, rel. 41
- 20.93 deg, rel. 67
- 21.90 deg, rel. 90
- 27.31 deg, rel. 100
- 27.62 deg, rel. 84
- 30.89 deg, rel. 71
- 31.75 deg, rel. 56
- 33.54 deg, rel. 44